[1]
For CsSr2BiI8, a cell relaxed with PBE gives the calculated powder XRD pattern in this record (Cu Kα (λ = 1.5418 Å)).
Neutral-atom scattering factors, no anomalous dispersion.

The 6 most intense peaks (10° ≤ 2θ ≤ 80°), by angle:
2θ/deg, d/Å, I/Imax, h k l
16.30, 5.436, 59, 1 1 0
20.82, 4.266, 33, 1 0 -2
23.77, 3.743, 100, 1 -1 2
25.66, 3.472, 68, 1 2 0
31.45, 2.844, 80, 2 -1 2
38.73, 2.325, 41, 0 3 -2

Cell and atoms:
```
CsSr2BiI8
1.0
7.568 0.000 0.000
0.026 7.810 0.000
0.016 0.010 10.331
Cs Sr Bi I
1 2 1 8
direct
0.000 0.000 0.000 Cs
0.500 0.500 0.251 Sr
0.500 0.500 0.749 Sr
0.000 0.000 0.500 Bi
0.241 0.337 0.500 I
0.250 0.848 0.708 I
0.251 0.849 0.291 I
0.260 0.398 0.000 I
0.740 0.602 0.000 I
0.749 0.151 0.709 I
0.750 0.152 0.292 I
0.759 0.663 0.500 I
```


[2]
For Cs2TlBiI6, a cell relaxed with PBE gives the calculated powder XRD pattern in this record (Cu Kα (λ = 1.5418 Å)).
Neutral-atom scattering factors, no anomalous dispersion.

The 6 most intense peaks (10° ≤ 2θ ≤ 80°), by angle:
2θ/deg, d/Å, I/Imax, h k l
13.92, 6.363, 54, 1 1 -1
19.73, 4.499, 42, 1 1 -3
28.05, 3.182, 100, 0 0 4
31.44, 2.846, 30, 2 2 0
35.15, 2.553, 37, 3 1 -1
40.08, 2.250, 31, 2 2 2

Cell and atoms:
```
Cs2TlBiI6
1.0
8.767 0.000 0.000
0.000 9.251 0.000
-8.730 0.000 12.726
Cs Tl Bi I
4 2 2 12
direct
0.225 0.075 0.251 Cs
0.225 0.425 0.751 Cs
0.775 0.575 0.249 Cs
0.775 0.925 0.749 Cs
0.000 0.000 0.500 Tl
0.000 0.500 0.000 Tl
0.500 0.000 0.000 Bi
0.500 0.500 0.500 Bi
0.167 0.185 0.957 I
0.167 0.315 0.457 I
0.276 0.716 0.958 I
0.276 0.784 0.458 I
0.349 0.014 0.763 I
0.349 0.486 0.263 I
0.651 0.514 0.737 I
0.651 0.986 0.237 I
0.724 0.216 0.542 I
0.724 0.284 0.042 I
0.833 0.685 0.543 I
0.833 0.815 0.043 I
```